[1]
Starting from a cell relaxed with PBE, the X-ray diffraction stick pattern of HoAl2Ag3 was simulated for Cu Kα, 1.54184 Å.

Atomic structure:
a b c (Å): 9.8594 8.4658 5.6555
angles (deg): 90.00 90.00 90.00
Space group Cmcm (No. 63)
Asymmetric unit:
Ho1 0.0000 0.1415 0.2500 [4 per cell]
Al1 0.2299 0.5000 0.0000 [8 per cell]
Ag1 0.0000 0.4992 0.7500 [4 per cell]
Ag2 0.1551 0.2214 0.7500 [8 per cell]

Most intense lines, 10 to 90 degrees two-theta, by angle:
2θ (°), d [Å], I/Imax, index
17.99, 4.930, 18, 2 0 0
31.64, 2.828, 49, 0 0 2
32.05, 2.793, 34, 2 2 1
33.02, 2.713, 47, 1 3 0
33.26, 2.694, 100, 3 1 1
36.64, 2.453, 20, 2 0 2
36.74, 2.446, 21, 1 3 1
42.44, 2.130, 17, 4 2 0
42.60, 2.122, 18, 2 2 2
45.50, 1.993, 17, 4 2 1
46.38, 1.958, 33, 1 3 2
57.39, 1.606, 21, 3 1 3

[2]
Starting from a cell relaxed with PBE, the X-ray diffraction stick pattern of Ho2Al2Ag3 was simulated for Cu Kα, 1.54184 Å.

Atomic structure:
a b c (Å): 4.2408 19.4483 7.2691
angles (deg): 90.00 90.00 90.00
Space group Cmcm (No. 63)
Asymmetric unit:
Ho1 0.0000 0.0571 0.2500 [4 per cell]
Ho2 0.0000 0.1528 0.7500 [4 per cell]
Al1 0.0000 0.3067 0.5572 [8 per cell]
Ag1 0.0000 0.2260 0.2500 [4 per cell]
Ag2 0.0000 0.4350 0.0581 [8 per cell]

Most intense lines, 10 to 90 degrees two-theta, by angle:
2θ (°), d [Å], I/Imax, index
24.49, 3.635, 13, 0 0 2
30.19, 2.960, 21, 0 6 1
32.78, 2.732, 87, 1 1 2
33.61, 2.667, 100, 1 5 1
41.65, 2.169, 24, 0 4 3
42.64, 2.120, 29, 2 0 0
46.37, 1.958, 12, 1 7 2
46.81, 1.941, 13, 0 6 3
61.13, 1.516, 16, 2 4 3
65.13, 1.432, 15, 2 10 0
71.80, 1.315, 13, 3 1 2
72.96, 1.297, 17, 1 5 5

[3]
Starting from a cell relaxed with PBE, the X-ray diffraction stick pattern of HoAl3Ag10 was simulated for Cu Kα, 1.54184 Å.

Atomic structure:
a b c (Å): 13.0293 13.0293 13.0293
angles (deg): 90.00 90.00 90.00
Space group Fm-3m (No. 225)
Asymmetric unit:
Ho1 0.2500 0.2500 0.2500 [8 per cell]
Al1 0.0000 0.0000 0.2360 [24 per cell]
Ag1 0.0000 0.1735 0.3265 [48 per cell]
Ag2 0.1185 0.1185 0.1185 [32 per cell]

Most intense lines, 10 to 90 degrees two-theta, by angle:
2θ (°), d [Å], I/Imax, index
13.59, 6.515, 12, 2 0 0
30.69, 2.913, 49, 4 2 0
33.70, 2.660, 29, 4 2 2
35.81, 2.507, 100, 3 3 3
39.11, 2.303, 34, 4 4 0
40.98, 2.202, 51, 5 3 1
46.22, 1.964, 24, 6 2 2
58.41, 1.580, 15, 6 4 4
60.27, 1.536, 30, 6 6 0
61.65, 1.504, 13, 5 5 5
65.24, 1.430, 13, 9 1 1
70.86, 1.330, 23, 8 4 4

[4]
Starting from a cell relaxed with PBE, the X-ray diffraction stick pattern of Ho12Al5Ag2 was simulated for Cu Kα, 1.54184 Å.

Atomic structure:
a b c (Å): 14.9297 8.3250 8.2522
angles (deg): 90.00 91.85 90.00
Space group C2/m (No. 12)
Asymmetric unit:
Ho1 0.0371 0.0000 0.2028 [4 per cell]
Ho2 0.0589 0.5000 0.6601 [4 per cell]
Ho3 0.1421 0.2253 0.9165 [8 per cell]
Ho4 0.1710 0.3021 0.3472 [8 per cell]
Al1 0.0000 0.5000 0.0000 [2 per cell]
Al2 0.1502 0.0000 0.5840 [4 per cell]
Al3 0.2427 0.0000 0.1981 [4 per cell]
Ag1 0.0000 0.1862 0.5000 [4 per cell]

Most intense lines, 10 to 90 degrees two-theta, by angle:
2θ (°), d [Å], I/Imax, index
24.49, 3.635, 40, 2 2 0
25.89, 3.441, 22, 4 0 -1
32.22, 2.778, 27, 4 2 0
32.58, 2.749, 25, 2 2 -2
32.89, 2.723, 33, 4 0 2
33.11, 2.706, 100, 2 2 2
33.80, 2.652, 25, 4 2 -1
34.02, 2.635, 24, 5 1 1
34.38, 2.608, 25, 2 0 -3
34.70, 2.585, 40, 1 1 -3
38.56, 2.335, 43, 3 3 -1
42.33, 2.135, 23, 6 2 0

[5]
Starting from a cell relaxed with PBE, the X-ray diffraction stick pattern of Ho2Al6Ag9 was simulated for Cu Kα, 1.54184 Å.

Atomic structure:
a b c (Å): 5.6513 5.6513 12.7700
angles (deg): 90.00 90.00 120.00
Space group P6/mmm (No. 191)
Asymmetric unit:
Ho1 0.0000 0.0000 0.1636 [2 per cell]
Al1 0.3333 0.6667 0.1647 [4 per cell]
Al2 0.3333 0.6667 0.5000 [2 per cell]
Ag1 0.0000 0.5000 0.0000 [3 per cell]
Ag2 0.0000 0.5000 0.3318 [6 per cell]

Most intense lines, 10 to 90 degrees two-theta, by angle:
2θ (°), d [Å], I/Imax, index
19.42, 4.570, 17, 1 0 1
20.87, 4.257, 25, 0 0 3
27.78, 3.212, 89, 1 0 3
36.73, 2.447, 100, 2 0 0
38.23, 2.354, 77, 1 1 3
42.47, 2.128, 31, 0 0 6
42.62, 2.121, 48, 2 0 3
54.05, 1.697, 27, 2 1 3
57.38, 1.606, 52, 2 0 6
60.81, 1.523, 19, 3 0 3
66.14, 1.413, 24, 2 2 0
81.85, 1.177, 33, 2 2 6

[6]
Starting from a cell relaxed with PBE, the X-ray diffraction stick pattern of Ho3Al4Ag4 was simulated for Cu Kα, 1.54184 Å.

Atomic structure:
a b c (Å): 3.5126 4.6205 14.3268
angles (deg): 80.72 82.97 89.98
Space group P-1 (No. 2)
Asymmetric unit:
Ho1 0.0000 0.0000 0.0000 [1 per cell]
Ho2 0.1423 0.6429 0.7146 [2 per cell]
Al1 0.3127 0.8119 0.3754 [2 per cell]
Al2 0.4532 0.4526 0.0943 [2 per cell]
Ag1 0.2620 0.2620 0.4759 [2 per cell]
Ag2 0.4068 0.9059 0.1873 [2 per cell]

Most intense lines, 10 to 90 degrees two-theta, by angle:
2θ (°), d [Å], I/Imax, index
21.45, 4.143, 32, 0 1 2
25.39, 3.508, 16, 0 0 4
33.93, 2.642, 44, 1 0 4
34.53, 2.598, 100, 1 1 3
38.99, 2.310, 27, 0 2 1
40.39, 2.233, 40, 0 1 6
52.07, 1.756, 12, 2 0 1
52.63, 1.739, 25, 1 2 5
55.67, 1.651, 10, 1 0 -7
66.92, 1.398, 11, 2 2 2
67.76, 1.383, 14, 1 3 4
67.89, 1.381, 17, -2 1 5

[7]
Starting from a cell relaxed with PBE, the X-ray diffraction stick pattern of NdHoAlAg was simulated for Cu Kα, 1.54184 Å.

Atomic structure:
a b c (Å): 3.5972 3.5972 7.6726
angles (deg): 90.00 90.00 90.00
Space group P4mm (No. 99)
Asymmetric unit:
Nd1 0.0000 0.0000 0.0000 [1 per cell]
Ho1 0.0000 0.0000 0.5040 [1 per cell]
Al1 0.5000 0.5000 0.7415 [1 per cell]
Ag1 0.5000 0.5000 0.2829 [1 per cell]

Most intense lines, 10 to 90 degrees two-theta, by angle:
2θ (°), d [Å], I/Imax, index
11.53, 7.673, 13, 0 0 1
23.19, 3.836, 11, 0 0 2
24.75, 3.597, 16, 1 0 0
34.17, 2.624, 100, 1 0 2
35.29, 2.544, 47, 1 1 0
42.65, 2.120, 9, 1 1 2
47.40, 1.918, 9, 0 0 4
50.76, 1.799, 17, 2 0 0
60.45, 1.531, 17, 1 1 4
62.62, 1.484, 34, 2 1 2
71.97, 1.312, 10, 2 0 4
85.33, 1.138, 7, 3 1 0

[8]
Starting from a cell relaxed with PBE, the X-ray diffraction stick pattern of Ho4AlAg2Pd was simulated for Cu Kα, 1.54184 Å.

Atomic structure:
a b c (Å): 5.0705 5.0705 24.8034
angles (deg): 90.00 90.00 120.00
Space group R-3m (No. 166, hexagonal axes)
Asymmetric unit:
Ho1 0.0000 0.0000 0.1203 [6 per cell]
Ho2 0.0000 0.0000 0.3718 [6 per cell]
Al1 0.0000 0.0000 0.5000 [3 per cell]
Ag1 0.0000 0.0000 0.2428 [6 per cell]
Pd1 0.0000 0.0000 0.0000 [3 per cell]

Most intense lines, 10 to 90 degrees two-theta, by angle:
2θ (°), d [Å], I/Imax, index
10.70, 8.268, 2, 0 0 3
20.54, 4.324, 2, 1 0 1
24.85, 3.584, 10, 1 0 4
35.42, 2.534, 100, 1 1 0
43.75, 2.069, 3, 0 0 12
48.81, 1.866, 3, 1 1 9
50.97, 1.792, 17, 2 0 8
57.51, 1.603, 5, 1 1 12
63.60, 1.463, 34, 3 0 0
67.66, 1.385, 2, 0 1 17
74.95, 1.267, 10, 2 2 0
85.73, 1.133, 14, 3 1 8

[9]
Starting from a cell relaxed with PBE, the X-ray diffraction stick pattern of AlAg2I2 was simulated for Cu Kα, 1.54184 Å.

Atomic structure:
a b c (Å): 6.0312 6.0312 8.1981
angles (deg): 90.00 90.00 90.00
Space group I4/mmm (No. 139)
Asymmetric unit:
Al1 0.0000 0.0000 0.0000 [2 per cell]
Ag1 0.0000 0.0000 0.3220 [4 per cell]
I1 0.0000 0.5000 0.2500 [4 per cell]

Most intense lines, 10 to 90 degrees two-theta, by angle:
2θ (°), d [Å], I/Imax, index
21.68, 4.099, 57, 0 0 2
29.62, 3.016, 100, 2 0 0
30.24, 2.955, 14, 1 1 2
36.08, 2.489, 28, 1 0 3
37.01, 2.429, 57, 2 0 2
42.39, 2.132, 37, 2 2 0
47.36, 1.920, 25, 2 1 3
48.10, 1.892, 26, 2 2 2
49.33, 1.847, 14, 1 1 4
69.73, 1.349, 16, 4 2 0
74.00, 1.281, 14, 4 2 2
87.91, 1.111, 17, 3 1 6

[10]
Starting from a cell relaxed with PBE, the X-ray diffraction stick pattern of Al2In2Ag15 was simulated for Cu Kα, 1.54184 Å.

Atomic structure:
a b c (Å): 9.5548 9.5548 14.3927
angles (deg): 90.00 90.00 120.00
Space group R-3m (No. 166, hexagonal axes)
Asymmetric unit:
Al1 0.0000 0.0000 0.0948 [6 per cell]
In1 0.0000 0.0000 0.3709 [6 per cell]
Ag1 0.0000 0.3324 0.0000 [18 per cell]
Ag2 0.0000 0.5000 0.5000 [9 per cell]
Ag3 0.0041 0.5020 0.8333 [18 per cell]

Most intense lines, 10 to 90 degrees two-theta, by angle:
2θ (°), d [Å], I/Imax, index
18.57, 4.779, 26, 1 1 0
32.46, 2.758, 16, 3 0 0
37.49, 2.399, 25, 0 0 6
37.63, 2.391, 100, 3 0 3
42.15, 2.144, 18, 1 1 6
42.27, 2.138, 54, 2 2 3
61.34, 1.511, 17, 3 3 3
64.60, 1.443, 10, 4 1 6
67.97, 1.379, 17, 6 0 0
70.92, 1.329, 16, 2 2 9
80.30, 1.196, 15, 6 0 6
83.36, 1.159, 12, 4 4 3

[11]
Starting from a cell relaxed with PBE, the X-ray diffraction stick pattern of AlInAg5 was simulated for Cu Kα, 1.54184 Å.

Atomic structure:
a b c (Å): 7.5887 6.3657 10.8939
angles (deg): 90.00 90.00 90.00
Space group Cmcm (No. 63)
Asymmetric unit:
Al1 0.0000 0.0000 0.0000 [4 per cell]
In1 0.0000 0.3497 0.2500 [4 per cell]
Ag1 0.0000 0.0756 0.7500 [4 per cell]
Ag2 0.2011 0.3614 0.6070 [16 per cell]

Most intense lines, 10 to 90 degrees two-theta, by angle:
2θ (°), d [Å], I/Imax, index
28.67, 3.113, 42, 2 0 2
30.70, 2.913, 16, 1 1 3
37.58, 2.394, 91, 0 2 3
37.81, 2.379, 100, 2 2 1
38.29, 2.351, 20, 3 1 0
39.21, 2.298, 20, 3 1 1
40.78, 2.213, 68, 2 0 4
50.25, 1.816, 12, 0 0 6
62.47, 1.487, 12, 4 2 3
67.05, 1.396, 16, 3 3 4
71.98, 1.312, 25, 2 2 7
72.89, 1.298, 13, 3 1 7

[12]
Starting from a cell relaxed with PBE, the X-ray diffraction stick pattern of La4AlInAg2 was simulated for Cu Kα, 1.54184 Å.

Atomic structure:
a b c (Å): 5.4693 5.4693 26.8414
angles (deg): 90.00 90.00 120.00
Space group R-3m (No. 166, hexagonal axes)
Asymmetric unit:
La1 0.0000 0.0000 0.1213 [6 per cell]
La2 0.0000 0.0000 0.3712 [6 per cell]
Al1 0.0000 0.0000 0.0000 [3 per cell]
In1 0.0000 0.0000 0.5000 [3 per cell]
Ag1 0.0000 0.0000 0.2461 [6 per cell]

Most intense lines, 10 to 90 degrees two-theta, by angle:
2θ (°), d [Å], I/Imax, index
19.87, 4.468, 2, 0 1 2
22.98, 3.870, 5, 1 0 4
29.98, 2.980, 3, 1 0 7
32.73, 2.736, 100, 1 1 0
46.96, 1.935, 18, 2 0 8
52.91, 1.731, 2, 2 1 4
58.41, 1.580, 26, 1 2 8
58.46, 1.579, 9, 3 0 0
61.97, 1.497, 2, 1 1 15
68.60, 1.368, 11, 2 2 0
78.10, 1.224, 15, 3 1 8
87.32, 1.117, 3, 0 4 8